# 1
Li2Mn3F8: simulated powder diffraction line list (Cu Ka), based on a PBE+U-relaxed structure.
Intensities are scaled so that the largest is 100.

Structural model:
Cell lengths 5.4495, 9.5092, 6.5508 Å; angles 90.00, 90.00, 90.00 degrees
Positions (direct):
1 Li 0.0155 0.1816 0.0000
2 Li 0.4845 0.6816 0.5000
3 Li 0.5155 0.3184 0.5000
4 Li 0.9845 0.8184 0.0000
5 Mn 0.0000 0.0000 0.5000
6 Mn 0.0000 0.5000 0.2647
7 Mn 0.0000 0.5000 0.7353
8 Mn 0.5000 0.0000 0.2353
9 Mn 0.5000 0.0000 0.7647
10 Mn 0.5000 0.5000 0.0000
11 F 0.1478 0.3814 0.0000
12 F 0.1680 0.1139 0.2555
13 F 0.1680 0.1139 0.7445
14 F 0.1757 0.3845 0.5000
15 F 0.3243 0.8845 0.0000
16 F 0.3320 0.6139 0.2445
17 F 0.3320 0.6139 0.7555
18 F 0.3522 0.8814 0.5000
19 F 0.6478 0.1186 0.5000
20 F 0.6680 0.3861 0.2445
21 F 0.6680 0.3861 0.7555
22 F 0.6757 0.1155 0.0000
23 F 0.8243 0.6155 0.5000
24 F 0.8320 0.8861 0.2555
25 F 0.8320 0.8861 0.7445
26 F 0.8522 0.6186 0.0000

Most intense lines, 2θ = 5–70°, low angle first:
2theta, I (rel.)
18.66, 100
28.39, 23
33.27, 39
37.19, 35
38.06, 22
43.04, 52
58.63, 28
58.95, 35

---

# 2
Li2VF6: simulated powder diffraction line list (Cu Ka), based on a PBE+U-relaxed structure.
Intensities are scaled so that the largest is 100.

Structural model:
Cell lengths 8.5374, 8.5898, 10.2353 Å; angles 85.88, 85.21, 61.41 degrees
Positions (direct):
1 Li 0.0000 0.0000 0.0000
2 Li 0.0206 0.6359 0.8075
3 Li 0.1242 0.8238 0.2907
4 Li 0.1897 0.0803 0.4905
5 Li 0.2727 0.2717 0.9708
6 Li 0.3234 0.9108 0.7605
7 Li 0.4470 0.1702 0.5826
8 Li 0.6052 0.6305 0.2563
9 Li 0.6484 0.2678 0.0665
10 Li 0.7013 0.2917 0.5101
11 Li 0.8498 0.7467 0.0846
12 Li 0.9707 0.5765 0.4726
13 V 0.3216 0.6283 0.0369
14 V 0.3307 0.6228 0.5405
15 V 0.6541 0.9669 0.3298
16 V 0.6576 0.9678 0.8264
17 V 0.9756 0.3030 0.7448
18 V 0.9917 0.2899 0.2404
19 F 0.0742 0.0680 0.3359
20 F 0.0751 0.3597 0.3790
21 F 0.0748 0.3915 0.8648
22 F 0.0817 0.0751 0.8399
23 F 0.0852 0.7093 0.9700
24 F 0.1040 0.7025 0.4642
25 F 0.1975 0.2221 0.1410
26 F 0.2090 0.1994 0.6515
27 F 0.2195 0.8620 0.1018
28 F 0.2357 0.5737 0.1912
29 F 0.2365 0.5696 0.6937
30 F 0.2569 0.8566 0.5997
31 F 0.3867 0.7060 0.8818
32 F 0.3904 0.6992 0.3741
33 F 0.4093 0.3907 0.9835
34 F 0.4125 0.3893 0.4841
35 F 0.4312 0.0475 0.4284
36 F 0.4416 0.0434 0.9233
37 F 0.5483 0.5412 0.1068
38 F 0.5495 0.9016 0.7030
39 F 0.5607 0.5386 0.5869
40 F 0.5742 0.1836 0.7282
41 F 0.5781 0.1696 0.2282
42 F 0.5968 0.8549 0.2007
43 F 0.7195 0.0650 0.4612
44 F 0.7418 0.7480 0.4180
45 F 0.7508 0.0438 0.9643
46 F 0.7528 0.7449 0.9204
47 F 0.7690 0.3794 0.3363
48 F 0.7726 0.3660 0.8380
49 F 0.8735 0.8773 0.7354
50 F 0.8849 0.8749 0.2330
51 F 0.8961 0.2073 0.1135
52 F 0.8986 0.5180 0.1588
53 F 0.9131 0.2146 0.6054
54 F 0.9227 0.5144 0.6483

Most intense lines, 2θ = 5–70°, low angle first:
2theta, I (rel.)
20.31, 58
20.53, 48
20.72, 100
20.89, 58
22.12, 44
28.68, 25
39.36, 31
41.28, 28

---

# 3
Sr2FeSnO6: simulated powder diffraction line list (Cu Ka), based on a PBE+U-relaxed structure.
Intensities are scaled so that the largest is 100.

Structural model:
Cell lengths 5.6904, 5.6904, 4.0363 Å; angles 90.00, 90.00, 90.00 degrees
Positions (direct):
1 Sr 0.0000 0.5000 0.0000
2 Sr 0.5000 0.0000 0.0000
3 Fe 0.0000 0.0000 0.5000
4 Sn 0.5000 0.5000 0.5000
5 O 0.0000 0.0000 0.0000
6 O 0.2448 0.2448 0.5000
7 O 0.2448 0.7552 0.5000
8 O 0.5000 0.5000 0.0000
9 O 0.7552 0.2448 0.5000
10 O 0.7552 0.7552 0.5000

Most intense lines, 2θ = 5–70°, low angle first:
2theta, I (rel.)
15.57, 6
27.08, 3
31.41, 100
44.91, 12
45.06, 23
55.92, 40
65.51, 14
65.63, 7

---

# 4
Li3V2P3O12: simulated powder diffraction line list (Cu Ka), based on a PBE+U-relaxed structure.
Intensities are scaled so that the largest is 100.

Structural model:
Cell lengths 8.7553, 8.7553, 8.7398 Å; angles 119.23, 119.23, 59.69 degrees
Positions (direct):
1 Li 0.0741 0.9259 0.5000
2 Li 0.1944 0.4518 0.5437
3 Li 0.4518 0.1944 0.0437
4 Li 0.4656 0.7784 0.9728
5 Li 0.7784 0.4656 0.4728
6 Li 0.9259 0.0741 0.0000
7 V 0.1712 0.6613 0.9365
8 V 0.4584 0.9612 0.6549
9 V 0.6613 0.1712 0.4365
10 V 0.9612 0.4584 0.1549
11 P 0.0620 0.2857 0.7525
12 P 0.2857 0.0620 0.2525
13 P 0.3414 0.5647 0.3363
14 P 0.5647 0.3414 0.8363
15 P 0.7699 0.8629 0.0507
16 P 0.8629 0.7699 0.5507
17 O 0.0478 0.7560 0.7154
18 O 0.0595 0.3335 0.9439
19 O 0.0903 0.2184 0.2154
20 O 0.0957 0.4365 0.7395
21 O 0.1954 0.5228 0.3484
22 O 0.2184 0.0903 0.7154
23 O 0.2647 0.8813 0.0901
24 O 0.2942 0.5515 0.1371
25 O 0.3335 0.0595 0.4439
26 O 0.3376 0.7592 0.4793
27 O 0.4165 0.5408 0.8807
28 O 0.4365 0.0957 0.2395
29 O 0.5228 0.1954 0.8484
30 O 0.5408 0.4165 0.3807
31 O 0.5515 0.2942 0.6371
32 O 0.5741 0.8865 0.8959
33 O 0.6995 0.8055 0.6023
34 O 0.7560 0.0478 0.2154
35 O 0.7592 0.3376 0.9793
36 O 0.8055 0.6995 0.1023
37 O 0.8330 0.9241 0.4899
38 O 0.8813 0.2647 0.5901
39 O 0.8865 0.5741 0.3959
40 O 0.9241 0.8330 0.9899

Most intense lines, 2θ = 5–70°, low angle first:
2theta, I (rel.)
14.11, 40
20.32, 100
23.59, 56
23.77, 73
23.94, 62
28.44, 25
28.94, 44
32.44, 38